Record 1
This entry pairs a crystal structure of Ta2GaF11 with its simulated XRD peak list. Radiation: CuKα. Structure: DFT lattice parameters and positions (GGA-PBE).
Neutral-atom scattering factors, no anomalous dispersion.

Atomic structure:
Cell: 8.7664 8.7664 8.7664 Å, 124.99 107.40 97.33°
Fractional positions:
Ta  0.1843  0.1085  0.2928
Ta  0.3157  0.6085  0.9242
Ta  0.6843  0.3915  0.0758
Ta  0.8157  0.8915  0.7072
Ga  0.2500  0.7500  0.5000
Ga  0.7500  0.2500  0.5000
F  0.0000  0.0000  0.0000
F  0.0188  0.8848  0.6692
F  0.0680  0.4854  0.7827
F  0.2026  0.9854  0.4174
F  0.2077  0.8686  0.0763
F  0.2155  0.3496  0.3308
F  0.2845  0.6152  0.1340
F  0.2923  0.3686  0.6609
F  0.2974  0.7147  0.7827
F  0.4320  0.2147  0.4174
F  0.4812  0.1504  0.8660
F  0.5000  0.5000  0.0000
F  0.5188  0.8496  0.1340
F  0.5680  0.7853  0.5826
F  0.7026  0.2853  0.2173
F  0.7077  0.6314  0.3391
F  0.7155  0.3848  0.8660
F  0.7845  0.6504  0.6692
F  0.7923  0.1314  0.9237
F  0.7974  0.0146  0.5826
F  0.9320  0.5146  0.2173
F  0.9812  0.1152  0.3308

Principal peaks in the range 2θ from 10° to 90°, in order of rising 2θ:
d = 5.790 Å, rel. 89
d = 5.190 Å, rel. 23
d = 4.289 Å, rel. 59
d = 4.088 Å, rel. 38
d = 3.865 Å, rel. 58
d = 3.586 Å, rel. 100
d = 3.182 Å, rel. 24
d = 2.894 Å, rel. 21
d = 2.698 Å, rel. 23
d = 2.141 Å, rel. 34


Record 2
This entry pairs a crystal structure of TbGaF6 with its simulated XRD peak list. Radiation: CuKα. Structure: DFT lattice parameters and positions (GGA-PBE).
Neutral-atom scattering factors, no anomalous dispersion.

Atomic structure:
Cell: 4.9192 4.9192 5.1439 Å, 96.40 96.40 114.01°
Fractional positions:
Tb  0.0000  0.0000  0.0000
Ga  0.5000  0.5000  0.5000
F  0.1500  0.4569  0.2554
F  0.2393  0.2393  0.7034
F  0.4569  0.1500  0.2554
F  0.5431  0.8500  0.7446
F  0.7607  0.7607  0.2966
F  0.8500  0.5431  0.7446

Principal peaks in the range 2θ from 10° to 90°, in order of rising 2θ:
d = 4.126 Å, rel. 72
d = 3.652 Å, rel. 100
d = 3.071 Å, rel. 59
d = 2.213 Å, rel. 21
d = 2.149 Å, rel. 26
d = 2.115 Å, rel. 45
d = 2.036 Å, rel. 19
d = 1.826 Å, rel. 15
d = 1.487 Å, rel. 19
d = 1.448 Å, rel. 17


Record 3
This entry pairs a crystal structure of GaTeF with its simulated XRD peak list. Radiation: CuKα. Structure: DFT lattice parameters and positions (GGA-PBE).
Neutral-atom scattering factors, no anomalous dispersion.

Atomic structure:
Cell: 5.8969 5.8969 5.8969 Å, 41.50 41.50 41.50°
Fractional positions:
Ga  0.0000  0.0000  0.0000
Te  0.4045  0.4045  0.4045
F  0.8884  0.8884  0.8884

Principal peaks in the range 2θ from 10° to 90°, in order of rising 2θ:
d = 5.381 Å, rel. 61
d = 3.302 Å, rel. 100
d = 2.693 Å, rel. 21
d = 2.409 Å, rel. 41
d = 2.089 Å, rel. 39
d = 1.946 Å, rel. 44
d = 1.766 Å, rel. 16
d = 1.762 Å, rel. 13
d = 1.348 Å, rel. 18
d = 1.177 Å, rel. 12